Diffraction record for Ag6Se3F. The powder X-ray diffraction pattern is computed, not measured: it uses a cell relaxed with PBE and Cu Kα (λ = 1.5418 Å).

Largest 10 diffraction maxima, by intensity, 2θ from 5° to 70°:
- 40.21 deg, rel. 100, hkl 2 4 1
- 34.56 deg, rel. 88, hkl 3 1 1
- 33.12 deg, rel. 85, hkl 2 2 2
- 19.26 deg, rel. 81, hkl 0 0 2
- 33.33 deg, rel. 72, hkl 0 2 3
- 32.84 deg, rel. 51, hkl 1 3 2
- 45.22 deg, rel. 39, hkl 3 3 2
- 47.96 deg, rel. 36, hkl 2 2 4
- 37.84 deg, rel. 34, hkl 0 4 2
- 44.91 deg, rel. 33, hkl 2 0 4

Crystal structure
Cell: 8.366 11.100 9.218 Å, 90.00 90.00 90.00°
Space group Cmc2_1 (No. 36)
Symmetry-distinct sites (fractional):
Ag 0.000 0.103 0.000
Ag 0.000 0.309 0.801
Ag 0.195 0.300 0.395
Ag 0.216 0.039 0.324
Se 0.000 0.493 0.458
Se 0.151 0.140 0.618
F 0.000 0.172 0.238